(1)
Structure and computed XRD peak list of NaSiP2 (DFT lattice parameters and positions (PBE); Cu Kα, 1.54184 Å).

Largest 12 diffraction maxima, by intensity, 10° ≤ 2θ ≤ 90°:
- hkl 2 0 1, d 2.779, I 100
- hkl 0 0 2, d 2.957, I 98
- hkl 1 2 1, d 3.199, I 55
- hkl 3 2 1, d 1.827, I 52
- hkl 1 2 3, d 1.750, I 49
- hkl 1 2 0, d 3.804, I 44
- hkl 0 4 0, d 2.387, I 43
- hkl 0 1 1, d 5.027, I 39
- hkl 1 3 1, d 2.560, I 38
- hkl 1 1 0, d 5.257, I 34
- hkl 2 0 0, d 3.149, I 34
- hkl 0 4 2, d 1.857, I 27

Cell and atoms:
a = 6.2974 Å, b = 9.5473 Å, c = 5.9130 Å
α = 90.00°, β = 90.00°, γ = 90.00°
Space group Pna2_1 (No. 33)
Inequivalent atoms, fractional coordinates:
Na (0.0659, 0.1302, 0.0000) [4 per cell]
Si (0.0130, 0.3712, 0.4920) [4 per cell]
P (0.1018, 0.4226, 0.1290) [4 per cell]
P (0.1403, 0.8371, 0.0536) [4 per cell]

=====

(2)
Structure and computed XRD peak list of Na3SnP3 (DFT lattice parameters and positions (PBE); Cu Kα, 1.54184 Å).

Largest 12 diffraction maxima, by intensity, 10° ≤ 2θ ≤ 90°:
- hkl 1 1 -1, d 5.361, I 100
- hkl 0 2 0, d 5.454, I 69
- hkl 1 1 -2, d 3.438, I 31
- hkl 0 0 1, d 7.551, I 29
- hkl 1 3 2, d 2.476, I 24
- hkl 4 2 0, d 2.127, I 24
- hkl 3 1 -1, d 2.856, I 23
- hkl 1 1 0, d 7.054, I 23
- hkl 0 2 1, d 4.421, I 21
- hkl 2 2 0, d 3.527, I 20
- hkl 1 1 3, d 2.315, I 19
- hkl 0 4 1, d 2.565, I 18

Cell and atoms:
a = 9.2951 Å, b = 10.9071 Å, c = 7.5879 Å
α = 90.00°, β = 95.68°, γ = 90.00°
Space group C2/m (No. 12)
Inequivalent atoms, fractional coordinates:
Na (0.0000, 0.1903, 0.0000) [4 per cell]
Na (0.0000, 0.2757, 0.5000) [4 per cell]
Na (0.1542, 0.5000, 0.8763) [4 per cell]
Sn (0.1655, 0.0000, 0.6106) [4 per cell]
P (0.0837, 0.0000, 0.2825) [4 per cell]
P (0.1331, 0.3885, 0.2184) [8 per cell]

=====

(3)
Structure and computed XRD peak list of NaSr4P (DFT lattice parameters and positions (PBE); Cu Kα, 1.54184 Å).

Largest 12 diffraction maxima, by intensity, 10° ≤ 2θ ≤ 90°:
- hkl 1 5 0, d 3.563, I 100
- hkl 1 1 2, d 3.413, I 76
- hkl 2 0 0, d 3.063, I 60
- hkl 0 6 2, d 2.751, I 38
- hkl 0 4 2, d 3.325, I 35
- hkl 1 3 2, d 3.123, I 33
- hkl 0 2 1, d 6.649, I 32
- hkl 2 6 2, d 2.047, I 31
- hkl 1 1 0, d 5.899, I 29
- hkl 2 4 2, d 2.253, I 23
- hkl 0 2 2, d 3.909, I 21
- hkl 1 5 1, d 3.278, I 20

Cell and atoms:
a = 6.1256 Å, b = 21.9035 Å, c = 8.3684 Å
α = 90.00°, β = 90.00°, γ = 90.00°
Space group Cmc2_1 (No. 36)
Inequivalent atoms, fractional coordinates:
Na (0.0000, 0.1157, 0.0000) [4 per cell]
Sr (0.0000, 0.0995, 0.4899) [4 per cell]
Sr (0.0000, 0.2967, 0.7697) [4 per cell]
Sr (0.0000, 0.3245, 0.2669) [4 per cell]
Sr (0.0000, 0.4854, 0.6952) [4 per cell]
P (0.0000, 0.4048, 0.9836) [4 per cell]

=====

(4)
Structure and computed XRD peak list of Na5SrTaP4 (DFT lattice parameters and positions (PBE); Cu Kα, 1.54184 Å).

Largest 12 diffraction maxima, by intensity, 10° ≤ 2θ ≤ 90°:
- hkl 1 1 -1, d 5.456, I 100
- hkl 0 2 0, d 8.080, I 94
- hkl 2 6 0, d 2.333, I 43
- hkl 3 1 1, d 2.818, I 43
- hkl 3 1 -1, d 2.827, I 39
- hkl 1 3 0, d 4.665, I 31
- hkl 2 2 2, d 2.721, I 20
- hkl 1 1 -3, d 2.359, I 17
- hkl 2 0 2, d 2.889, I 17
- hkl 0 2 3, d 2.353, I 15
- hkl 0 2 2, d 3.360, I 15
- hkl 2 4 0, d 3.054, I 14

Cell and atoms:
a = 9.3392 Å, b = 16.1519 Å, c = 7.3839 Å
α = 90.00°, β = 90.38°, γ = 90.00°
Space group Cc (No. 9)
Inequivalent atoms, fractional coordinates:
Na (0.0000, 0.0333, 0.0000) [4 per cell]
Na (0.0120, 0.3607, 0.3361) [4 per cell]
Na (0.2280, 0.4312, 0.8159) [4 per cell]
Na (0.2871, 0.0707, 0.3464) [4 per cell]
Na (0.3040, 0.2683, 0.5016) [4 per cell]
Sr (0.2080, 0.2350, 0.0070) [4 per cell]
Ta (0.0093, 0.1648, 0.6128) [4 per cell]
P (0.0041, 0.3070, 0.7180) [4 per cell]
P (0.0046, 0.1688, 0.2880) [4 per cell]
P (0.2187, 0.0963, 0.7246) [4 per cell]
P (0.2933, 0.4030, 0.2077) [4 per cell]

=====

(5)
Structure and computed XRD peak list of Na6TaP4 (DFT lattice parameters and positions (PBE); Cu Kα, 1.54184 Å).

Largest 12 diffraction maxima, by intensity, 10° ≤ 2θ ≤ 90°:
- hkl 1 0 1, d 5.357, I 100
- hkl 1 0 0, d 8.056, I 63
- hkl 2 1 1, d 2.803, I 55
- hkl 2 2 0, d 2.325, I 42
- hkl 1 1 0, d 4.651, I 34
- hkl 1 1 2, d 2.840, I 26
- hkl 2 0 2, d 2.680, I 21
- hkl 1 0 3, d 2.292, I 20
- hkl 2 1 3, d 1.880, I 18
- hkl 2 0 0, d 4.028, I 17
- hkl 3 1 1, d 2.133, I 16
- hkl 1 0 2, d 3.276, I 15

Cell and atoms:
a = 9.3026 Å, b = 9.3026 Å, c = 7.1725 Å
α = 90.00°, β = 90.00°, γ = 120.00°
Space group P6_3mc (No. 186)
Inequivalent atoms, fractional coordinates:
Na (0.0648, 0.5324, 0.0000) [6 per cell]
Na (0.1456, 0.2912, 0.3199) [6 per cell]
Ta (0.3333, 0.6667, 0.6152) [2 per cell]
P (0.1916, 0.3831, 0.7155) [6 per cell]
P (0.3333, 0.6667, 0.2835) [2 per cell]

=====

(6)
Structure and computed XRD peak list of Na5TlP2 (DFT lattice parameters and positions (PBE); Cu Kα, 1.54184 Å).

Largest 12 diffraction maxima, by intensity, 10° ≤ 2θ ≤ 90°:
- hkl 1 0 1, d 4.287, I 100
- hkl 1 1 0, d 2.544, I 66
- hkl 1 0 3, d 3.587, I 40
- hkl 1 0 7, d 2.270, I 36
- hkl 1 0 4, d 3.193, I 31
- hkl 1 1 6, d 1.964, I 29
- hkl 1 0 0, d 4.406, I 26
- hkl 1 1 2, d 2.453, I 25
- hkl 1 0 6, d 2.529, I 22
- hkl 1 1 8, d 1.713, I 18
- hkl 0 0 6, d 3.089, I 18
- hkl 1 0 2, d 3.979, I 17

Cell and atoms:
a = 5.0876 Å, b = 5.0876 Å, c = 18.5362 Å
α = 90.00°, β = 90.00°, γ = 120.00°
Space group P6_3/mmc (No. 194)
Inequivalent atoms, fractional coordinates:
Na (0.0000, 0.0000, 0.1347) [4 per cell]
Na (0.3333, 0.6667, 0.0523) [4 per cell]
Na (0.3333, 0.6667, 0.2500) [2 per cell]
Tl (0.3333, 0.6667, 0.7500) [2 per cell]
P (0.3333, 0.6667, 0.6061) [4 per cell]

=====

(7)
Structure and computed XRD peak list of Na2VP2 (DFT lattice parameters and positions (PBE); Cu Kα, 1.54184 Å).

Largest 12 diffraction maxima, by intensity, 10° ≤ 2θ ≤ 90°:
- hkl 2 1 1, d 2.428, I 100
- hkl 2 0 1, d 2.631, I 59
- hkl 0 0 1, d 4.751, I 54
- hkl 0 0 2, d 2.376, I 48
- hkl 3 1 0, d 1.998, I 46
- hkl 3 1 2, d 1.529, I 36
- hkl 3 1 1, d 1.842, I 23
- hkl 1 1 1, d 3.255, I 17
- hkl 2 1 3, d 1.382, I 15
- hkl 2 2 0, d 2.234, I 14
- hkl 5 1 1, d 1.199, I 12
- hkl 2 2 2, d 1.627, I 9

Cell and atoms:
a = 6.3176 Å, b = 6.3176 Å, c = 4.7514 Å
α = 90.00°, β = 90.00°, γ = 90.00°
Space group P4/mbm (No. 127)
Inequivalent atoms, fractional coordinates:
Na (0.1753, 0.3247, 0.0000) [4 per cell]
V (0.0000, 0.0000, 0.5000) [2 per cell]
P (0.1286, 0.6286, 0.5000) [4 per cell]

=====

(8)
Structure and computed XRD peak list of NaPa2Pd8 (DFT lattice parameters and positions (PBE); Cu Kα, 1.54184 Å).

Largest 12 diffraction maxima, by intensity, 10° ≤ 2θ ≤ 90°:
- hkl 1 2 3, d 2.203, I 100
- hkl 1 0 5, d 2.502, I 57
- hkl 1 2 1, d 2.446, I 48
- hkl 0 0 2, d 7.176, I 43
- hkl 0 1 1, d 5.281, I 42
- hkl 2 0 2, d 2.406, I 39
- hkl 2 0 0, d 2.554, I 36
- hkl 2 2 8, d 1.304, I 30
- hkl 0 2 4, d 2.227, I 26
- hkl 0 0 6, d 2.392, I 26
- hkl 2 2 2, d 1.836, I 25
- hkl 3 2 3, d 1.397, I 24

Cell and atoms:
a = 5.1075 Å, b = 5.6792 Å, c = 14.3530 Å
α = 90.00°, β = 90.00°, γ = 90.00°
Space group Immm (No. 71)
Inequivalent atoms, fractional coordinates:
Na (0.0000, 0.0000, 0.0000) [2 per cell]
Pa (0.0000, 0.5000, 0.1844) [4 per cell]
Pd (0.0000, 0.0000, 0.1973) [4 per cell]
Pd (0.0000, 0.2625, 0.3649) [8 per cell]
Pd (0.2491, 0.5000, 0.0000) [4 per cell]

=====

(9)
Structure and computed XRD peak list of NaPaPdS3 (DFT lattice parameters and positions (PBE); Cu Kα, 1.54184 Å).

Largest 12 diffraction maxima, by intensity, 10° ≤ 2θ ≤ 90°:
- hkl 0 2 0, d 6.473, I 100
- hkl 1 3 2, d 2.541, I 52
- hkl 1 1 2, d 3.055, I 49
- hkl 2 0 0, d 1.997, I 32
- hkl 0 0 4, d 2.552, I 19
- hkl 0 2 4, d 2.374, I 18
- hkl 1 3 0, d 2.930, I 13
- hkl 1 3 1, d 2.816, I 11
- hkl 0 4 0, d 3.236, I 11
- hkl 0 2 2, d 4.008, I 11
- hkl 1 1 6, d 1.554, I 10
- hkl 2 2 4, d 1.527, I 9

Cell and atoms:
a = 3.9899 Å, b = 12.9457 Å, c = 10.2086 Å
α = 90.00°, β = 90.00°, γ = 90.00°
Space group Cmcm (No. 63)
Inequivalent atoms, fractional coordinates:
Na (0.0000, 0.2477, 0.2500) [4 per cell]
Pa (0.0000, 0.5000, 0.0000) [4 per cell]
Pd (0.0000, 0.0384, 0.7500) [4 per cell]
S (0.0000, 0.1348, 0.5482) [8 per cell]
S (0.0000, 0.4251, 0.7500) [4 per cell]

=====

(10)
Structure and computed XRD peak list of NaPm2PaSe4 (DFT lattice parameters and positions (PBE); Cu Kα, 1.54184 Å).

Largest 12 diffraction maxima, by intensity, 10° ≤ 2θ ≤ 90°:
- hkl 1 1 1, d 2.942, I 100
- hkl 1 1 -3, d 2.092, I 25
- hkl 3 1 -1, d 2.068, I 24
- hkl 0 0 1, d 6.901, I 13
- hkl 2 0 2, d 2.106, I 13
- hkl 2 2 -2, d 1.685, I 13
- hkl 2 2 2, d 1.471, I 12
- hkl 0 2 0, d 2.057, I 12
- hkl 0 2 4, d 1.321, I 11
- hkl 4 2 0, d 1.309, I 11
- hkl 1 0 -1, d 5.879, I 9
- hkl 0 0 4, d 1.725, I 7

Cell and atoms:
a = 7.1775 Å, b = 4.1139 Å, c = 7.2881 Å
α = 90.00°, β = 108.77°, γ = 90.00°
Space group P2/m (No. 10)
Inequivalent atoms, fractional coordinates:
Na (0.0000, 0.0000, 0.0000) [1 per cell]
Pm (0.5000, 0.0000, 0.5000) [1 per cell]
Pm (0.5000, 0.5000, 0.0000) [1 per cell]
Pa (0.0000, 0.5000, 0.5000) [1 per cell]
Se (0.2415, 0.0000, 0.7487) [2 per cell]
Se (0.2439, 0.5000, 0.2511) [2 per cell]

=====

(11)
Structure and computed XRD peak list of Na4Pa3PtSe8 (DFT lattice parameters and positions (PBE); Cu Kα, 1.54184 Å).

Largest 12 diffraction maxima, by intensity, 10° ≤ 2θ ≤ 90°:
- hkl 0 0 1, d 7.215, I 100
- hkl 2 2 -2, d 2.886, I 82
- hkl 4 0 0, d 3.065, I 47
- hkl 2 2 2, d 2.129, I 32
- hkl 6 2 -2, d 2.074, I 31
- hkl 2 2 -1, d 3.380, I 25
- hkl 4 0 -1, d 3.642, I 19
- hkl 4 0 -4, d 2.168, I 17
- hkl 2 2 -3, d 2.288, I 16
- hkl 4 4 0, d 1.636, I 14
- hkl 0 4 0, d 1.934, I 13
- hkl 2 2 3, d 1.710, I 12

Cell and atoms:
a = 14.7478 Å, b = 7.7358 Å, c = 8.6775 Å
α = 90.00°, β = 123.75°, γ = 90.00°
Space group C2/m (No. 12)
Inequivalent atoms, fractional coordinates:
Na (0.0000, 0.0000, 0.0000) [2 per cell]
Na (0.0000, 0.5000, 0.0000) [2 per cell]
Na (0.2500, 0.2500, 0.0000) [4 per cell]
Pa (0.0000, 0.0000, 0.5000) [2 per cell]
Pa (0.2500, 0.2500, 0.5000) [4 per cell]
Pt (0.0000, 0.5000, 0.5000) [2 per cell]
Se (0.0112, 0.2695, 0.2876) [8 per cell]
Se (0.2284, 0.0000, 0.2396) [4 per cell]
Se (0.2367, 0.0000, 0.7358) [4 per cell]

=====

(12)
Structure and computed XRD peak list of Na2PuPa2Se6 (DFT lattice parameters and positions (PBE); Cu Kα, 1.54184 Å).

Largest 12 diffraction maxima, by intensity, 10° ≤ 2θ ≤ 90°:
- hkl 0 0 1, d 7.067, I 100
- hkl 1 3 1, d 2.986, I 80
- hkl 2 0 -1, d 3.554, I 48
- hkl 2 0 2, d 2.135, I 45
- hkl 2 0 -2, d 2.972, I 40
- hkl 3 3 -1, d 2.080, I 29
- hkl 4 0 0, d 1.707, I 23
- hkl 1 3 -2, d 2.747, I 19
- hkl 3 3 0, d 1.999, I 18
- hkl 1 3 2, d 2.322, I 17
- hkl 0 6 0, d 2.085, I 15
- hkl 3 3 3, d 1.348, I 13

Cell and atoms:
a = 7.1982 Å, b = 12.5121 Å, c = 7.4542 Å
α = 90.00°, β = 108.55°, γ = 90.00°
Space group C2/m (No. 12)
Inequivalent atoms, fractional coordinates:
Na (0.0000, 0.1649, 0.0000) [4 per cell]
Pu (0.0000, 0.0000, 0.5000) [2 per cell]
Pa (0.0000, 0.3352, 0.5000) [4 per cell]
Se (0.2364, 0.5000, 0.7315) [4 per cell]
Se (0.2449, 0.1718, 0.7279) [8 per cell]